The following is a calculated powder diffraction line list of Er2InNi9. It was derived from DFT lattice parameters and positions (PBE), using Cu Kα (λ = 1.5418 Å).
Intensities are scaled so that the largest is 100.

Main lines, most intense first (2θ = 10–90°):
2theta  d_spacing  I_rel
43.16  2.096  100.0
36.62  2.454  55.9
33.41  2.682  51.9
36.46  2.464  45.8
42.71  2.117  40.4
46.68  1.946  24.4

Structure:
```
Er2InNi9
1.0
2.454 1.417 8.065
-2.454 1.417 8.065
0.000 -2.834 8.065
Er In Ni
2 1 9
Cartesian
0.000 0.000 3.308 Er
0.000 0.000 20.886 Er
0.000 0.000 0.000 In
-1.233 -0.712 10.067 Ni
0.000 0.000 8.060 Ni
0.000 -1.424 14.126 Ni
-1.233 0.712 14.126 Ni
0.000 0.000 12.097 Ni
1.233 -0.712 10.067 Ni
0.000 1.424 10.067 Ni
0.000 0.000 16.133 Ni
1.233 0.712 14.126 Ni
```